No. 1
# Ti3CN
Theoretical XRD peak list, CuKα. Input: a structure optimized by DFT (PBE).
Kinematic intensities with the Lorentz-polarization factor, no thermal factor.

Top 12 peaks for 2θ from 15° to 90°, by angle:
| d_spacing | 2θ (°) | I (rel.) | h k l |
| --- | --- | --- | --- |
| 3.581 | 24.86 | 5 | 1 1 1 |
| 2.774 | 32.27 | 3 | 2 0 1 |
| 2.532 | 35.45 | 100 | 2 1 1 |
| 2.193 | 41.16 | 11 | 2 2 0 |
| 1.962 | 46.28 | 47 | 3 0 1 |
| 1.720 | 53.25 | 2 | 3 2 0 |
| 1.658 | 55.42 | 28 | 3 2 1 |
| 1.387 | 67.53 | 20 | 4 2 0 |
| 1.322 | 71.32 | 13 | 3 3 2 |
| 1.266 | 75.01 | 4 | 4 2 2 |
| 1.216 | 78.65 | 16 | 4 1 3 |
| 1.132 | 85.80 | 6 | 5 1 2 |

Cell and atoms:
```
data_Ti3CN
_chemical_formula_sum 'Ti12 C4 N4'
_cell_length_a 6.2029
_cell_length_b 6.2029
_cell_length_c 6.2029
_cell_angle_alpha 90.00
_cell_angle_beta 90.00
_cell_angle_gamma 90.00
_space_group_name_H-M_alt 'P 21 3'
_space_group_IT_number 198
_space_group_name_Hall 'P 2ac 2ab 3'
loop_
_atom_site_label
_atom_site_fract_x
_atom_site_fract_y
_atom_site_fract_z
Ti1 0.0017 0.2630 0.3657
C1 0.1517 0.6517 0.8483
N1 0.0810 0.0810 0.0810
```



No. 2
# Ti6C3N
Theoretical XRD peak list, CuKα. Input: a structure optimized by DFT (PBE).
Kinematic intensities with the Lorentz-polarization factor, no thermal factor.

Top 12 peaks for 2θ from 15° to 90°, by angle:
| d_spacing | 2θ (°) | I (rel.) | h k l |
| --- | --- | --- | --- |
| 3.884 | 22.90 | 4 | 0 1 2 |
| 2.640 | 33.96 | 11 | 1 1 0 |
| 2.454 | 36.62 | 19 | 0 0 6 |
| 2.325 | 38.73 | 100 | 2 -1 3 |
| 1.797 | 50.80 | 23 | 2 -1 6 |
| 1.524 | 60.78 | 19 | 3 0 0 |
| 1.390 | 67.34 | 17 | 1 1 9 |
| 1.295 | 73.09 | 13 | 3 0 6 |
| 1.275 | 74.44 | 12 | 2 2 3 |
| 1.227 | 77.86 | 3 | 0 0 12 |
| 1.162 | 83.09 | 4 | 2 2 6 |
| 1.113 | 87.72 | 2 | 2 -1 12 |

Cell and atoms:
```
data_Ti6C3N
_chemical_formula_sum 'Ti18 C9 N3'
_cell_length_a 5.2794
_cell_length_b 5.2794
_cell_length_c 14.7227
_cell_angle_alpha 90.00
_cell_angle_beta 90.00
_cell_angle_gamma 120.00
_space_group_name_H-M_alt 'R 3'
_space_group_IT_number 146
_space_group_name_Hall 'R 3'
loop_
_atom_site_label
_atom_site_fract_x
_atom_site_fract_y
_atom_site_fract_z
Ti1 0.0133 0.3424 0.0000
Ti2 0.0155 0.6674 0.5001
C1 0.0000 0.0000 0.2428
C2 0.0000 0.0000 0.4242
C3 0.0000 0.0000 0.7414
N1 0.0000 0.0000 0.9239
```



No. 3
# Ti6C2N3
Theoretical XRD peak list, CuKα. Input: a structure optimized by DFT (PBE).
Kinematic intensities with the Lorentz-polarization factor, no thermal factor.

Top 12 peaks for 2θ from 15° to 90°, by angle:
| d_spacing | 2θ (°) | I (rel.) | h k l |
| --- | --- | --- | --- |
| 4.485 | 19.79 | 2 | 1 0 0 |
| 2.590 | 34.64 | 8 | 1 1 0 |
| 2.528 | 35.51 | 18 | 0 0 2 |
| 2.305 | 39.08 | 100 | 1 1 1 |
| 1.809 | 50.45 | 29 | 1 1 2 |
| 1.495 | 62.08 | 21 | 3 0 0 |
| 1.412 | 66.16 | 18 | 2 -1 3 |
| 1.287 | 73.61 | 12 | 3 0 2 |
| 1.264 | 75.17 | 4 | 0 0 4 |
| 1.254 | 75.85 | 12 | 4 -2 1 |
| 1.152 | 83.97 | 5 | 4 -2 2 |
| 1.136 | 85.49 | 1 | 1 1 4 |

Cell and atoms:
```
data_Ti6C2N3
_chemical_formula_sum 'Ti6 C2 N3'
_cell_length_a 5.1791
_cell_length_b 5.1791
_cell_length_c 5.0556
_cell_angle_alpha 90.00
_cell_angle_beta 90.00
_cell_angle_gamma 120.00
_space_group_name_H-M_alt 'P -3 1 m'
_space_group_IT_number 162
_space_group_name_Hall '-P 3 2'
loop_
_atom_site_label
_atom_site_fract_x
_atom_site_fract_y
_atom_site_fract_z
Ti1 0.0000 0.3404 0.2571
C1 0.3333 0.6667 0.5000
N1 0.0000 0.0000 0.5000
N2 0.3333 0.6667 0.0000
```



No. 4
# ZrTiCN
Theoretical XRD peak list, CuKα. Input: a structure optimized by DFT (PBE).
Kinematic intensities with the Lorentz-polarization factor, no thermal factor.

Top 12 peaks for 2θ from 15° to 90°, by angle:
| d_spacing | 2θ (°) | I (rel.) | h k l |
| --- | --- | --- | --- |
| 5.175 | 17.14 | 19 | 0 0 3 |
| 2.714 | 33.00 | 14 | 1 0 1 |
| 2.598 | 34.52 | 78 | 0 1 2 |
| 2.587 | 34.67 | 26 | 0 0 6 |
| 2.248 | 40.12 | 100 | 1 0 4 |
| 2.062 | 43.92 | 7 | 0 1 5 |
| 1.592 | 57.94 | 31 | 1 1 0 |
| 1.587 | 58.13 | 30 | 0 1 8 |
| 1.356 | 69.28 | 31 | 1 1 6 |
| 1.353 | 69.49 | 10 | 1 0 10 |
| 1.299 | 72.81 | 15 | 0 2 4 |
| 1.124 | 86.63 | 9 | 2 0 8 |

Cell and atoms:
```
data_ZrTiCN
_chemical_formula_sum 'Zr3 Ti3 C3 N3'
_cell_length_a 3.1834
_cell_length_b 3.1834
_cell_length_c 15.5244
_cell_angle_alpha 90.00
_cell_angle_beta 90.00
_cell_angle_gamma 120.00
_space_group_name_H-M_alt 'R 3 m'
_space_group_IT_number 160
_space_group_name_Hall 'R 3 -2"'
loop_
_atom_site_label
_atom_site_fract_x
_atom_site_fract_y
_atom_site_fract_z
Zr1 0.0000 0.0000 0.0000
Ti1 0.0000 0.0000 0.5015
C1 0.0000 0.0000 0.2444
N1 0.0000 0.0000 0.7554
```



No. 5
# Tm2C3N6
Theoretical XRD peak list, CuKα. Input: a structure optimized by DFT (PBE).
Kinematic intensities with the Lorentz-polarization factor, no thermal factor.

Top 12 peaks for 2θ from 15° to 90°, by angle:
| d_spacing | 2θ (°) | I (rel.) | h k l |
| --- | --- | --- | --- |
| 5.172 | 17.15 | 100 | 0 0 1 |
| 3.611 | 24.66 | 63 | 1 1 0 |
| 3.528 | 25.24 | 58 | 4 0 0 |
| 3.071 | 29.08 | 39 | 4 0 -1 |
| 2.999 | 29.79 | 79 | 1 1 -1 |
| 2.925 | 30.56 | 23 | 3 1 0 |
| 2.780 | 32.20 | 23 | 4 0 1 |
| 2.621 | 34.20 | 27 | 3 1 -1 |
| 2.477 | 36.27 | 54 | 3 1 1 |
| 2.131 | 42.42 | 60 | 1 1 -2 |
| 1.877 | 48.51 | 24 | 3 1 2 |
| 1.774 | 51.51 | 38 | 5 1 -2 |

Cell and atoms:
```
data_Tm2C3N6
_chemical_formula_sum 'Tm4 C6 N12'
_cell_length_a 14.1940
_cell_length_b 3.7351
_cell_length_c 5.2011
_cell_angle_alpha 90.00
_cell_angle_beta 96.10
_cell_angle_gamma 90.00
_space_group_name_H-M_alt 'C 1 2/m 1'
_space_group_IT_number 12
_space_group_name_Hall '-C 2y'
loop_
_atom_site_label
_atom_site_fract_x
_atom_site_fract_y
_atom_site_fract_z
Tm1 0.1340 0.0000 0.0688
C1 0.0000 0.0000 0.5000
C2 0.1714 0.5000 0.5933
N1 0.0117 0.0000 0.7381
N2 0.1560 0.5000 0.3587
N3 0.1902 0.5000 0.8335
```



No. 6
# U3CN
Theoretical XRD peak list, CuKα. Input: a structure optimized by DFT (PBE).
Kinematic intensities with the Lorentz-polarization factor, no thermal factor.

Top 12 peaks for 2θ from 15° to 90°, by angle:
| d_spacing | 2θ (°) | I (rel.) | h k l |
| --- | --- | --- | --- |
| 4.686 | 18.94 | 12 | 1 0 0 |
| 2.918 | 30.64 | 47 | 0 0 1 |
| 2.705 | 33.11 | 100 | 1 1 0 |
| 2.477 | 36.27 | 8 | 1 0 1 |
| 1.984 | 45.74 | 89 | 1 1 1 |
| 1.771 | 51.61 | 16 | 2 1 0 |
| 1.562 | 59.15 | 15 | 3 0 0 |
| 1.514 | 61.22 | 19 | 1 2 1 |
| 1.377 | 68.09 | 18 | 3 0 1 |
| 1.284 | 73.80 | 22 | 1 1 2 |
| 1.227 | 77.84 | 11 | 2 2 1 |
| 1.126 | 86.42 | 8 | 2 1 2 |

Cell and atoms:
```
data_U3CN
_chemical_formula_sum 'U3 C1 N1'
_cell_length_a 5.4106
_cell_length_b 5.4106
_cell_length_c 2.9177
_cell_angle_alpha 90.00
_cell_angle_beta 90.00
_cell_angle_gamma 120.00
_space_group_name_H-M_alt 'P -6'
_space_group_IT_number 174
_space_group_name_Hall 'P -6'
loop_
_atom_site_label
_atom_site_fract_x
_atom_site_fract_y
_atom_site_fract_z
U1 0.0004 0.2867 0.0000
C1 0.6667 0.3333 0.5000
N1 0.3333 0.6667 0.5000
```



No. 7
# U3C2N
Theoretical XRD peak list, CuKα. Input: a structure optimized by DFT (PBE).
Kinematic intensities with the Lorentz-polarization factor, no thermal factor.

Top 12 peaks for 2θ from 15° to 90°, by angle:
| d_spacing | 2θ (°) | I (rel.) | h k l |
| --- | --- | --- | --- |
| 2.853 | 31.35 | 81 | 0 2 6 |
| 2.830 | 31.61 | 79 | 2 2 0 |
| 2.461 | 36.51 | 100 | 2 0 6 |
| 1.750 | 52.27 | 12 | 0 0 12 |
| 1.740 | 52.59 | 47 | 2 4 6 |
| 1.489 | 62.38 | 25 | 2 2 12 |
| 1.486 | 62.50 | 12 | 0 6 6 |
| 1.483 | 62.65 | 12 | 2 6 0 |
| 1.479 | 62.83 | 24 | 4 2 6 |
| 1.426 | 65.43 | 13 | 0 4 12 |
| 1.415 | 66.01 | 12 | 4 4 0 |
| 1.101 | 88.92 | 24 | 4 4 12 |

Cell and atoms:
```
data_U3C2N
_chemical_formula_sum 'U48 C32 N16'
_cell_length_a 6.9180
_cell_length_b 9.8482
_cell_length_c 21.0016
_cell_angle_alpha 90.00
_cell_angle_beta 90.00
_cell_angle_gamma 90.00
_space_group_name_H-M_alt 'F d d d'
_space_group_IT_number 70
loop_
_space_group_symop_operation_xyz
'x,y,z'
'-x,-y,-z'
'-x+1/4,-y+1/4,z'
'x+1/4,y+1/4,-z'
'x,-y+1/4,-z+1/4'
'-x,y+1/4,z+1/4'
'-x+1/4,y,-z+1/4'
'x+1/4,-y,z+1/4'
'x,y+1/2,z+1/2'
'-x,-y+1/2,-z+1/2'
'-x+1/4,-y+3/4,z+1/2'
'x+1/4,y+3/4,-z+1/2'
'x,-y+3/4,-z+3/4'
'-x,y+3/4,z+3/4'
'-x+1/4,y+1/2,-z+3/4'
'x+1/4,-y+1/2,z+3/4'
'x+1/2,y,z+1/2'
'-x+1/2,-y,-z+1/2'
'-x+3/4,-y+1/4,z+1/2'
'x+3/4,y+1/4,-z+1/2'
'x+1/2,-y+1/4,-z+3/4'
'-x+1/2,y+1/4,z+3/4'
'-x+3/4,y,-z+3/4'
'x+3/4,-y,z+3/4'
'x+1/2,y+1/2,z'
'-x+1/2,-y+1/2,-z'
'-x+3/4,-y+3/4,z'
'x+3/4,y+3/4,-z'
'x+1/2,-y+3/4,-z+1/4'
'-x+1/2,y+3/4,z+1/4'
'-x+3/4,y+1/2,-z+1/4'
'x+3/4,-y+1/2,z+1/4'
loop_
_atom_site_label
_atom_site_fract_x
_atom_site_fract_y
_atom_site_fract_z
U1 0.1229 0.3750 0.3750
U2 0.1237 0.3740 0.2088
C1 0.1250 0.1250 0.3756
C2 0.1250 0.1250 0.5419
N1 0.1250 0.1250 0.0418
```



No. 8
# V4C2N
Theoretical XRD peak list, CuKα. Input: a structure optimized by DFT (PBE).
Kinematic intensities with the Lorentz-polarization factor, no thermal factor.

Top 12 peaks for 2θ from 15° to 90°, by angle:
| d_spacing | 2θ (°) | I (rel.) | h k l |
| --- | --- | --- | --- |
| 4.362 | 20.36 | 10 | 1 1 0 |
| 2.512 | 35.74 | 11 | 0 2 1 |
| 2.434 | 36.93 | 29 | 2 0 0 |
| 2.233 | 40.40 | 100 | 1 2 1 |
| 2.192 | 41.18 | 49 | 1 4 0 |
| 1.748 | 52.33 | 25 | 2 2 1 |
| 1.729 | 52.97 | 11 | 2 4 0 |
| 1.462 | 63.64 | 10 | 0 0 2 |
| 1.428 | 65.34 | 18 | 0 6 1 |
| 1.363 | 68.88 | 16 | 3 2 1 |
| 1.232 | 77.48 | 12 | 2 6 1 |
| 1.217 | 78.65 | 16 | 4 0 0 |

Cell and atoms:
```
data_V4C2N
_chemical_formula_sum 'V8 C4 N2'
_cell_length_a 4.8685
_cell_length_b 9.8205
_cell_length_c 2.9241
_cell_angle_alpha 90.00
_cell_angle_beta 90.00
_cell_angle_gamma 90.00
_space_group_name_H-M_alt 'P b a m'
_space_group_IT_number 55
_space_group_name_Hall '-P 2 2ab'
loop_
_atom_site_label
_atom_site_fract_x
_atom_site_fract_y
_atom_site_fract_z
V1 0.2302 0.0860 0.0000
V2 0.2328 0.8285 0.5000
C1 0.0057 0.2587 0.0000
N1 0.0000 0.0000 0.5000
```



No. 9
# V6C3N
Theoretical XRD peak list, CuKα. Input: a structure optimized by DFT (PBE).
Kinematic intensities with the Lorentz-polarization factor, no thermal factor.

Top 12 peaks for 2θ from 15° to 90°, by angle:
| d_spacing | 2θ (°) | I (rel.) | h k l |
| --- | --- | --- | --- |
| 3.701 | 24.04 | 4 | 0 1 2 |
| 2.524 | 35.56 | 12 | 1 1 0 |
| 2.317 | 38.86 | 19 | 0 0 6 |
| 2.217 | 40.70 | 100 | 2 -1 3 |
| 1.707 | 53.69 | 21 | 1 1 6 |
| 1.458 | 63.87 | 19 | 3 0 0 |
| 1.318 | 71.61 | 16 | 1 1 9 |
| 1.262 | 75.29 | 1 | 2 2 0 |
| 1.234 | 77.34 | 13 | 3 0 6 |
| 1.218 | 78.54 | 11 | 2 2 3 |
| 1.159 | 83.42 | 3 | 0 0 12 |
| 1.108 | 88.13 | 4 | 4 -2 6 |

Cell and atoms:
```
data_V6C3N
_chemical_formula_sum 'V18 C9 N3'
_cell_length_a 5.0490
_cell_length_b 5.0490
_cell_length_c 13.9040
_cell_angle_alpha 90.00
_cell_angle_beta 90.00
_cell_angle_gamma 120.00
_space_group_name_H-M_alt 'R 3'
_space_group_IT_number 146
_space_group_name_Hall 'R 3'
loop_
_atom_site_label
_atom_site_fract_x
_atom_site_fract_y
_atom_site_fract_z
V1 0.0135 0.3429 0.0000
V2 0.0153 0.6681 0.5000
C1 0.0000 0.0000 0.2407
C2 0.0000 0.0000 0.4260
C3 0.0000 0.0000 0.7394
N1 0.0000 0.0000 0.9264
```



No. 10
# V6CN3
Theoretical XRD peak list, CuKα. Input: a structure optimized by DFT (PBE).
Kinematic intensities with the Lorentz-polarization factor, no thermal factor.

Top 12 peaks for 2θ from 15° to 90°, by angle:
| d_spacing | 2θ (°) | I (rel.) | h k l |
| --- | --- | --- | --- |
| 3.668 | 24.26 | 4 | 0 1 2 |
| 2.476 | 36.28 | 11 | 1 1 0 |
| 2.359 | 38.15 | 20 | 0 0 6 |
| 2.193 | 41.17 | 100 | 2 -1 3 |
| 1.834 | 49.71 | 1 | 0 2 4 |
| 1.708 | 53.66 | 23 | 1 1 6 |
| 1.430 | 65.26 | 19 | 3 0 0 |
| 1.328 | 71.00 | 17 | 1 1 9 |
| 1.223 | 78.17 | 12 | 3 0 6 |
| 1.198 | 80.14 | 11 | 2 2 3 |
| 1.180 | 81.62 | 3 | 0 0 12 |
| 1.096 | 89.36 | 5 | 2 2 6 |

Cell and atoms:
```
data_V6CN3
_chemical_formula_sum 'V18 C3 N9'
_cell_length_a 4.9528
_cell_length_b 4.9528
_cell_length_c 14.1547
_cell_angle_alpha 90.00
_cell_angle_beta 90.00
_cell_angle_gamma 120.00
_space_group_name_H-M_alt 'R 3'
_space_group_IT_number 146
_space_group_name_Hall 'R 3'
loop_
_atom_site_label
_atom_site_fract_x
_atom_site_fract_y
_atom_site_fract_z
V1 0.0127 0.6689 0.0000
V2 0.0154 0.3462 0.5000
C1 0.0000 0.0000 0.2406
N1 0.0000 0.0000 0.4258
N2 0.0000 0.0000 0.7403
N3 0.0000 0.0000 0.9257
```



No. 11
# W2C3N6
Theoretical XRD peak list, CuKα. Input: a structure optimized by DFT (PBE).
Kinematic intensities with the Lorentz-polarization factor, no thermal factor.

Top 12 peaks for 2θ from 15° to 90°, by angle:
| d_spacing | 2θ (°) | I (rel.) | h k l |
| --- | --- | --- | --- |
| 5.162 | 17.18 | 91 | 0 0 6 |
| 4.231 | 21.00 | 59 | 0 1 2 |
| 3.824 | 23.26 | 47 | 1 0 4 |
| 2.906 | 30.77 | 21 | 0 1 8 |
| 2.581 | 34.76 | 16 | 0 0 12 |
| 2.537 | 35.37 | 59 | 1 1 0 |
| 2.278 | 39.55 | 100 | 1 1 6 |
| 1.810 | 50.42 | 51 | 1 1 12 |
| 1.466 | 63.47 | 23 | 3 0 0 |
| 1.424 | 65.53 | 22 | 1 1 18 |
| 1.410 | 66.28 | 17 | 3 0 6 |
| 1.233 | 77.41 | 14 | 2 2 6 |

Cell and atoms:
```
data_W2C3N6
_chemical_formula_sum 'W12 C18 N36'
_cell_length_a 5.0784
_cell_length_b 5.0784
_cell_length_c 30.9725
_cell_angle_alpha 90.00
_cell_angle_beta 90.00
_cell_angle_gamma 120.00
_space_group_name_H-M_alt 'R -3 c'
_space_group_IT_number 167
_space_group_name_Hall '-R 3 2"c'
loop_
_atom_site_label
_atom_site_fract_x
_atom_site_fract_y
_atom_site_fract_z
W1 0.0000 0.0000 0.1667
C1 0.0000 0.3347 0.2500
N1 0.0057 0.3509 0.5435
```



No. 12
# Y4CN2
Theoretical XRD peak list, CuKα. Input: a structure optimized by DFT (PBE).
Kinematic intensities with the Lorentz-polarization factor, no thermal factor.

Top 12 peaks for 2θ from 15° to 90°, by angle:
| d_spacing | 2θ (°) | I (rel.) | h k l |
| --- | --- | --- | --- |
| 5.857 | 15.13 | 4 | 1 0 1 |
| 2.929 | 30.52 | 100 | 2 0 2 |
| 2.536 | 35.39 | 61 | 2 2 0 |
| 1.952 | 46.51 | 5 | 1 0 5 |
| 1.793 | 50.92 | 45 | 4 0 0 |
| 1.529 | 60.54 | 39 | 4 2 2 |
| 1.464 | 63.54 | 13 | 4 0 4 |
| 1.421 | 65.73 | 3 | 3 2 5 |
| 1.321 | 71.42 | 2 | 4 1 5 |
| 1.268 | 74.88 | 6 | 4 4 0 |
| 1.164 | 82.98 | 14 | 6 0 2 |
| 1.134 | 85.64 | 15 | 6 2 0 |

Cell and atoms:
```
data_Y4CN2
_chemical_formula_sum 'Y16 C4 N8'
_cell_length_a 7.1716
_cell_length_b 7.1716
_cell_length_c 10.1506
_cell_angle_alpha 90.00
_cell_angle_beta 90.00
_cell_angle_gamma 90.00
_space_group_name_H-M_alt 'P 41 2 2'
_space_group_IT_number 91
_space_group_name_Hall 'P 4w 2c'
loop_
_atom_site_label
_atom_site_fract_x
_atom_site_fract_y
_atom_site_fract_z
Y1 0.0098 0.2467 0.2592
Y2 0.2470 0.4818 0.4946
C1 0.2418 0.5000 0.2500
N1 0.0000 0.2432 0.5000
N2 0.2506 0.2506 0.8750
```